Starting from a DFT-relaxed cell (GGA+U, Alexandria), the powder XRD pattern of CrFeO2 was calculated for λ = 1.5418 Å (Cu Kα).
Neutral-atom scattering factors, no anomalous dispersion.

The 10 most intense peaks (15 to 90 degrees two-theta), low angle first:
2.595 Å, 2θ = 34.6°, rel. 34; 2.587 Å, 2θ = 34.7°, rel. 34; 2.573 Å, 2θ = 34.9°, rel. 65; 2.545 Å, 2θ = 35.3°, rel. 100; 2.162 Å, 2θ = 41.8°, rel. 63; 2.077 Å, 2θ = 43.6°, rel. 55; 1.657 Å, 2θ = 55.4°, rel. 23; 1.639 Å, 2θ = 56.1°, rel. 22; 1.612 Å, 2θ = 57.1°, rel. 20; 1.498 Å, 2θ = 61.9°, rel. 33

Structural model:
a = 5.410 Å, b = 5.460 Å, c = 6.722 Å
α = 100.06°, β = 100.46°, γ = 105.45°
Space group P-1 (No. 2)
Unique sites:
Cr 0.070 0.320 0.130 (multiplicity 2)
Cr 0.196 0.948 0.381 (multiplicity 2)
Fe 0.310 0.559 0.622 (multiplicity 2)
Fe 0.458 0.203 0.887 (multiplicity 2)
O 0.032 0.796 0.609 (multiplicity 2)
O 0.209 0.474 0.892 (multiplicity 2)
O 0.342 0.104 0.145 (multiplicity 2)
O 0.430 0.697 0.372 (multiplicity 2)